Structure and calculated powder XRD pattern of Na3LiV4O12 (a structure optimized by DFT (PBE+U); Cu Ka).
Neutral-atom scattering factors, no anomalous dispersion.

Principal peaks in the range 10° ≤ 2θ ≤ 90°, by angle:
- hkl 2 0 0, 2θ 17.7, 5.005 Å, intensity 45
- hkl 0 2 1, 2θ 24.7, 3.604 Å, intensity 79
- hkl 2 2 -1, 2θ 27.3, 3.272 Å, intensity 100
- hkl 3 1 -1, 2θ 27.9, 3.199 Å, intensity 30
- hkl 3 1 0, 2θ 28.4, 3.145 Å, intensity 37
- hkl 0 0 2, 2θ 32.0, 2.797 Å, intensity 47

Structure:
```
data_Na3LiV4O12
_cell_length_a 10.6012
_cell_length_b 9.4228
_cell_length_c 5.9249
_cell_angle_alpha 90.00
_cell_angle_beta 109.24
_cell_angle_gamma 90.00
_symmetry_space_group_name_H-M 'C 1 2 1'
_symmetry_Int_Tables_number 5
loop_
_symmetry_equiv_pos_as_xyz
'x,y,z'
'-x,y,-z'
'x+1/2,y+1/2,z'
'-x+1/2,y+1/2,-z'
loop_
_atom_site_label
_atom_site_type_symbol
_atom_site_fract_x
_atom_site_fract_y
_atom_site_fract_z
Na1 Na 0.0000 0.0000 0.0000
Na2 Na 0.0000 0.2041 0.5000
Na3 Na 0.0000 0.5771 0.5000
Li1 Li 0.0000 0.3785 0.0000
V1 V 0.2092 0.6958 0.9957
V2 V 0.2116 0.8790 0.4999
O1 O 0.1206 0.3893 0.3945
O2 O 0.1229 0.1924 0.9168
O3 O 0.1424 0.5330 0.9402
O4 O 0.1448 0.7921 0.7134
O5 O 0.1469 0.0410 0.4352
O6 O 0.1486 0.7839 0.2155
```

---

Structure and calculated powder XRD pattern of NaLiV4O12 (a structure optimized by DFT (PBE+U); Cu Ka).
Neutral-atom scattering factors, no anomalous dispersion.

Principal peaks in the range 10° ≤ 2θ ≤ 90°, by angle:
- hkl 0 0 2, 2θ 23.8, 3.741 Å, intensity 100
- hkl 2 2 0, 2θ 33.9, 2.645 Å, intensity 35
- hkl 0 0 4, 2θ 48.7, 1.871 Å, intensity 37
- hkl 4 2 0, 2θ 54.9, 1.673 Å, intensity 31
- hkl 4 2 2, 2θ 60.6, 1.527 Å, intensity 13
- hkl 4 0 4, 2θ 71.3, 1.323 Å, intensity 18

Structure:
```
data_NaLiV4O12
_cell_length_a 7.4775
_cell_length_b 7.4837
_cell_length_c 7.4856
_cell_angle_alpha 90.00
_cell_angle_beta 90.00
_cell_angle_gamma 90.00
_symmetry_space_group_name_H-M 'C m m m'
_symmetry_Int_Tables_number 65
_symmetry_space_group_name_Hall '-C 2 2'
loop_
_atom_site_label
_atom_site_type_symbol
_atom_site_fract_x
_atom_site_fract_y
_atom_site_fract_z
Na1 Na 0.0000 0.0000 0.0000
Li1 Li 0.0000 0.5000 0.5000
V1 V 0.2500 0.2500 0.2505
O1 O 0.0000 0.2403 0.2501
O2 O 0.2393 0.5000 0.2511
O3 O 0.2500 0.2500 0.0000
O4 O 0.2500 0.2500 0.5000
```

---

Structure and calculated powder XRD pattern of NaLi3V4O12 (a structure optimized by DFT (PBE+U); Cu Ka).
Neutral-atom scattering factors, no anomalous dispersion.

Principal peaks in the range 10° ≤ 2θ ≤ 90°, by angle:
- hkl 2 0 0, 2θ 18.3, 4.846 Å, intensity 74
- hkl 0 2 1, 2θ 25.5, 3.497 Å, intensity 100
- hkl 2 2 -1, 2θ 28.1, 3.180 Å, intensity 88
- hkl 3 1 -1, 2θ 28.6, 3.126 Å, intensity 28
- hkl 3 1 0, 2θ 29.4, 3.040 Å, intensity 33
- hkl 0 0 2, 2θ 32.2, 2.782 Å, intensity 46

Structure:
```
data_NaLi3V4O12
_cell_length_a 10.3172
_cell_length_b 8.9926
_cell_length_c 5.9226
_cell_angle_alpha 90.00
_cell_angle_beta 110.06
_cell_angle_gamma 90.00
_symmetry_space_group_name_H-M 'C 1 2 1'
_symmetry_Int_Tables_number 5
loop_
_symmetry_equiv_pos_as_xyz
'x,y,z'
'-x,y,-z'
'x+1/2,y+1/2,z'
'-x+1/2,y+1/2,-z'
loop_
_atom_site_label
_atom_site_type_symbol
_atom_site_fract_x
_atom_site_fract_y
_atom_site_fract_z
Na1 Na 0.0000 0.0000 0.0000
Li1 Li 0.0000 0.2040 0.5000
Li2 Li 0.0000 0.3738 0.0000
Li3 Li 0.0000 0.5599 0.5000
V1 V 0.2102 0.6942 0.9957
V2 V 0.2132 0.8810 0.4989
O1 O 0.1121 0.3942 0.4073
O2 O 0.1157 0.1924 0.9009
O3 O 0.1431 0.7760 0.6962
O4 O 0.1442 0.0511 0.4554
O5 O 0.1453 0.7947 0.2032
O6 O 0.1461 0.5215 0.9557
```

---

Structure and calculated powder XRD pattern of Na5Li3V8O24 (a structure optimized by DFT (PBE+U); Cu Ka).
Neutral-atom scattering factors, no anomalous dispersion.

Principal peaks in the range 10° ≤ 2θ ≤ 90°, by angle:
- hkl 0 1 -2, 2θ 17.9, 4.953 Å, intensity 56
- hkl 1 1 1, 2θ 24.8, 3.585 Å, intensity 90
- hkl 1 0 3, 2θ 27.5, 3.248 Å, intensity 100
- hkl 1 -1 3, 2θ 28.2, 3.170 Å, intensity 35
- hkl 0 2 -2, 2θ 28.7, 3.113 Å, intensity 35
- hkl 2 0 -2, 2θ 32.0, 2.796 Å, intensity 50

Structure:
```
data_Na5Li3V8O24
_cell_length_a 5.9210
_cell_length_b 7.0248
_cell_length_c 13.8366
_cell_angle_alpha 90.68
_cell_angle_beta 100.29
_cell_angle_gamma 104.22
_symmetry_space_group_name_H-M 'P 1'
_symmetry_Int_Tables_number 1
loop_
_symmetry_equiv_pos_as_xyz
'x,y,z'
loop_
_atom_site_label
_atom_site_type_symbol
_atom_site_fract_x
_atom_site_fract_y
_atom_site_fract_z
Na1 Na 0.0000 0.0000 0.0000
Na2 Na 0.1017 0.2033 0.6015
Na3 Na 0.3134 0.6271 0.3136
Na4 Na 0.6023 0.2045 0.1024
Na5 Na 0.8132 0.6257 0.8128
Li1 Li 0.4130 0.8260 0.9130
Li2 Li 0.5016 0.0029 0.5015
Li3 Li 0.9137 0.8272 0.4136
V1 V 0.0591 0.5372 0.0565
V2 V 0.1497 0.7186 0.6475
V3 V 0.2681 0.1127 0.2706
V4 V 0.3596 0.2972 0.8584
V5 V 0.5580 0.5351 0.5558
V6 V 0.6473 0.7173 0.1488
V7 V 0.7635 0.1118 0.7656
V8 V 0.8580 0.2956 0.3596
O1 O 0.0636 0.2671 0.2796
O2 O 0.0654 0.2695 0.7821
O3 O 0.0746 0.6970 0.9670
O4 O 0.1642 0.8917 0.5642
O5 O 0.2090 0.8173 0.7627
O6 O 0.2140 0.0099 0.1568
O7 O 0.2519 0.9385 0.3535
O8 O 0.3490 0.5564 0.1346
O9 O 0.3513 0.5633 0.6354
O10 O 0.3586 0.1311 0.9448
O11 O 0.4535 0.3047 0.5064
O12 O 0.4631 0.5273 0.9084
O13 O 0.5644 0.2688 0.7783
O14 O 0.5671 0.2724 0.2824
O15 O 0.5695 0.7020 0.4693
O16 O 0.6517 0.8898 0.0654
O17 O 0.7051 0.0141 0.6503
O18 O 0.7101 0.8174 0.2640
O19 O 0.7405 0.9341 0.8462
O20 O 0.8459 0.1280 0.4460
O21 O 0.8494 0.5595 0.6335
O22 O 0.8519 0.5659 0.1357
O23 O 0.9465 0.3096 0.0058
O24 O 0.9622 0.5261 0.4090
```